For InOs2Pt, DFT lattice parameters and positions (PBE) gives the simulated powder XRD pattern in this record (λ = 1.5418 Å (Cu Kα)).

Peak list (10 most intense, 5 to 70 degrees two-theta, by angle)
d (Å)  two_theta  I (rel.)
5.875  15.08  14
2.937  30.43  6
2.339  38.50  96
2.293  39.28  100
2.045  44.29  65
1.932  47.02  30
1.808  50.49  6
1.469  63.33  8
1.425  65.52  11
1.405  66.58  39

Crystal structure
a = 2.849 Å, b = 3.865 Å, c = 5.875 Å
α = 90.00°, β = 90.00°, γ = 90.00°
Atoms (fractional coordinates):
In 0.000 0.000 0.000
Os 0.000 0.000 0.480
Os 0.500 0.500 0.295
Pt 0.500 0.500 0.757

---

For Sm3Er3ScS8, DFT lattice parameters and positions (PBE) gives the simulated powder XRD pattern in this record (λ = 1.5418 Å (Cu Kα)).

Peak list (10 most intense, 5 to 70 degrees two-theta, by angle)
d (Å)  two_theta  I (rel.)
5.531  16.02  25
3.928  22.63  11
3.222  27.69  16
3.184  28.02  47
2.766  32.37  100
1.964  46.22  36
1.947  46.65  35
1.666  55.11  16
1.592  57.92  18
1.383  67.76  11

Crystal structure
a = 7.858 Å, b = 7.858 Å, c = 7.858 Å
α = 59.42°, β = 59.42°, γ = 59.42°
Atoms (fractional coordinates):
Sm 0.000 0.500 0.500
Sm 0.500 0.000 0.500
Sm 0.500 0.500 0.000
Er 0.000 0.000 0.500
Er 0.000 0.500 0.000
Er 0.500 0.000 0.000
Sc 0.500 0.500 0.500
S 0.246 0.246 0.246
S 0.250 0.742 0.742
S 0.258 0.258 0.750
S 0.258 0.750 0.258
S 0.742 0.250 0.742
S 0.742 0.742 0.250
S 0.750 0.258 0.258
S 0.754 0.754 0.754